The following is a simulated X-ray powder pattern of GaHg3Br. It was derived from a PBE-relaxed structure, using a wavelength of 1.5418 Å.

Structural model:
Unit cell a=12.318 b=8.545 c=6.965 alpha=90.00 beta=115.93 gamma=90.00
Space group C2 (No. 5)
Inequivalent atoms, fractional coordinates:
Ga (0.249, 0.000, 0.463)
Hg (0.001, 0.451, 0.776)
Hg (0.014, 0.989, 0.780)
Hg (0.185, 0.225, 0.702)
Br (0.221, 0.724, 0.776)

Largest 10 diffraction maxima, in order of falling intensity, 10° ≤ 2θ ≤ 90°:
- 26.35 deg, I 100, (2 2 0)
- 33.39 deg, I 76, (2 2 -2)
- 28.50 deg, I 36, (0 0 2)
- 54.29 deg, I 25, (4 4 0)
- 38.74 deg, I 23, (4 2 0)
- 32.33 deg, I 22, (4 0 0)
- 25.71 deg, I 21, (2 0 1)
- 42.31 deg, I 20, (0 4 0)
- 44.35 deg, I 20, (2 2 2)
- 32.47 deg, I 19, (4 0 -2)